No. 1
The following is a theoretical powder diffraction line list of CsNaHg14. It was derived from a cell relaxed with GGA-PBE, using Cu Kα (weighted mean of Kα1 and Kα2).

Cell and atoms:
Lattice parameters (Å, degrees): 10.531 10.531 11.064 117.01 117.01 71.78
Positions (direct):
Cs (0.167, 0.833, 0.750)
Cs (0.833, 0.167, 0.250)
Na (0.000, 0.500, 0.000)
Na (0.500, 0.000, 0.500)
Hg (0.039, 0.833, 0.035)
Hg (0.084, 0.456, 0.390)
Hg (0.101, 0.220, 0.756)
Hg (0.167, 0.961, 0.465)
Hg (0.203, 0.527, 0.869)
Hg (0.220, 0.101, 0.256)
Hg (0.241, 0.617, 0.306)
Hg (0.271, 0.275, 0.107)
Hg (0.275, 0.271, 0.607)
Hg (0.383, 0.759, 0.194)
Hg (0.408, 0.494, 0.582)
Hg (0.456, 0.084, 0.890)
Hg (0.473, 0.797, 0.631)
Hg (0.494, 0.408, 0.082)
Hg (0.506, 0.592, 0.918)
Hg (0.527, 0.203, 0.369)
Hg (0.544, 0.916, 0.110)
Hg (0.592, 0.506, 0.418)
Hg (0.617, 0.241, 0.806)
Hg (0.725, 0.729, 0.393)
Hg (0.729, 0.725, 0.893)
Hg (0.759, 0.383, 0.694)
Hg (0.780, 0.899, 0.744)
Hg (0.797, 0.473, 0.131)
Hg (0.833, 0.039, 0.535)
Hg (0.899, 0.780, 0.244)
Hg (0.916, 0.544, 0.610)
Hg (0.961, 0.167, 0.965)

Top 10 peaks for 10 to 90 degrees two-theta, by intensity:
two_theta	intensity
32.13	100
29.50	42
28.44	38
30.56	31
36.67	29
34.78	27
35.09	27
34.17	24
31.51	24
32.55	23

=====

No. 2
The following is a theoretical powder diffraction line list of Cs2Na5Hg12. It was derived from a cell relaxed with GGA-PBE, using Cu Kα (weighted mean of Kα1 and Kα2).

Cell and atoms:
Lattice parameters (Å, degrees): 8.424 8.424 8.424 82.32 82.32 82.32
Positions (direct):
Cs (0.143, 0.143, 0.143)
Cs (0.857, 0.857, 0.857)
Na (0.000, 0.500, 0.500)
Na (0.405, 0.405, 0.405)
Na (0.500, 0.000, 0.500)
Na (0.500, 0.500, 0.000)
Na (0.595, 0.595, 0.595)
Hg (0.152, 0.152, 0.617)
Hg (0.152, 0.617, 0.152)
Hg (0.210, 0.500, 0.790)
Hg (0.210, 0.790, 0.500)
Hg (0.383, 0.848, 0.848)
Hg (0.500, 0.210, 0.790)
Hg (0.500, 0.790, 0.210)
Hg (0.617, 0.152, 0.152)
Hg (0.790, 0.210, 0.500)
Hg (0.790, 0.500, 0.210)
Hg (0.848, 0.383, 0.848)
Hg (0.848, 0.848, 0.383)

Top 10 peaks for 10 to 90 degrees two-theta, by intensity:
two_theta	intensity
32.40	100
28.61	71
36.32	53
15.99	44
25.13	38
32.72	28
37.87	24
32.29	22
27.87	20
55.36	18

=====

No. 3
The following is a theoretical powder diffraction line list of Cs2Na2Hg. It was derived from a cell relaxed with GGA-PBE, using Cu Kα (weighted mean of Kα1 and Kα2).

Cell and atoms:
Lattice parameters (Å, degrees): 6.151 6.735 13.293 90.00 90.00 90.00
Positions (direct):
Cs (0.000, 0.000, 0.186)
Cs (0.000, 0.000, 0.814)
Cs (0.500, 0.500, 0.314)
Cs (0.500, 0.500, 0.686)
Na (0.000, 0.238, 0.500)
Na (0.000, 0.762, 0.500)
Na (0.500, 0.262, 0.000)
Na (0.500, 0.738, 0.000)
Hg (0.000, 0.500, 0.000)
Hg (0.500, 0.000, 0.500)

Top 10 peaks for 10 to 90 degrees two-theta, by intensity:
two_theta	intensity
23.73	100
24.04	69
15.88	56
31.02	45
38.04	44
45.93	28
29.04	28
26.47	23
45.11	20
36.83	17

=====

No. 4
The following is a theoretical powder diffraction line list of Cs2Na3Hg6. It was derived from a cell relaxed with GGA-PBE, using Cu Kα (weighted mean of Kα1 and Kα2).

Cell and atoms:
Lattice parameters (Å, degrees): 9.285 9.285 4.917 90.00 90.00 100.53
Positions (direct):
Cs (0.204, 0.796, 0.000)
Cs (0.796, 0.204, 0.000)
Na (0.297, 0.297, 0.000)
Na (0.500, 0.500, 0.500)
Na (0.703, 0.703, 0.000)
Hg (0.125, 0.125, 0.500)
Hg (0.148, 0.460, 0.500)
Hg (0.460, 0.148, 0.500)
Hg (0.540, 0.852, 0.500)
Hg (0.852, 0.540, 0.500)
Hg (0.875, 0.875, 0.500)

Top 10 peaks for 10 to 90 degrees two-theta, by intensity:
two_theta	intensity
27.13	100
18.04	100
29.35	99
23.50	88
34.67	67
47.55	54
26.65	53
36.55	51
53.58	36
42.18	34

=====

No. 5
The following is a theoretical powder diffraction line list of Cs2Na9Hg3. It was derived from a cell relaxed with GGA-PBE, using Cu Kα (weighted mean of Kα1 and Kα2).

Cell and atoms:
Lattice parameters (Å, degrees): 10.088 10.088 13.639 112.49 112.49 57.04
Positions (direct):
Cs (0.105, 0.259, 0.241)
Cs (0.259, 0.105, 0.741)
Cs (0.741, 0.895, 0.259)
Cs (0.895, 0.741, 0.759)
Na (0.011, 0.876, 0.084)
Na (0.124, 0.989, 0.416)
Na (0.190, 0.361, 0.554)
Na (0.229, 0.574, 0.251)
Na (0.324, 0.506, 0.982)
Na (0.334, 0.666, 0.750)
Na (0.361, 0.190, 0.054)
Na (0.426, 0.771, 0.249)
Na (0.494, 0.676, 0.518)
Na (0.506, 0.324, 0.482)
Na (0.574, 0.229, 0.751)
Na (0.639, 0.810, 0.946)
Na (0.666, 0.334, 0.250)
Na (0.676, 0.494, 0.018)
Na (0.771, 0.426, 0.749)
Na (0.810, 0.639, 0.446)
Na (0.876, 0.011, 0.584)
Na (0.989, 0.124, 0.916)
Hg (0.000, 0.500, 0.000)
Hg (0.153, 0.667, 0.488)
Hg (0.333, 0.847, 0.012)
Hg (0.500, 0.000, 0.500)
Hg (0.667, 0.153, 0.988)
Hg (0.847, 0.333, 0.512)

Top 10 peaks for 10 to 90 degrees two-theta, by intensity:
two_theta	intensity
22.84	100
31.72	57
23.48	51
17.61	47
43.57	38
29.09	33
38.64	30
30.25	28
14.43	25
34.21	23

=====

No. 6
The following is a theoretical powder diffraction line list of Cs7NaHg2. It was derived from a cell relaxed with GGA-PBE, using Cu Kα (weighted mean of Kα1 and Kα2).

Cell and atoms:
Lattice parameters (Å, degrees): 17.146 17.146 17.146 157.29 157.29 32.34
Positions (direct):
Cs (0.000, 0.000, 0.000)
Cs (0.109, 0.609, 0.500)
Cs (0.250, 0.750, 0.500)
Cs (0.391, 0.891, 0.500)
Cs (0.609, 0.109, 0.500)
Cs (0.750, 0.250, 0.500)
Cs (0.891, 0.391, 0.500)
Na (0.500, 0.500, 0.000)
Hg (0.177, 0.177, 0.000)
Hg (0.823, 0.823, 0.000)

Top 10 peaks for 10 to 90 degrees two-theta, by intensity:
two_theta	intensity
24.71	100
26.40	66
28.63	43
45.58	38
13.38	28
18.82	27
32.66	27
37.68	26
15.41	20
47.99	20

=====

No. 7
The following is a theoretical powder diffraction line list of CsNa3Hg3. It was derived from a cell relaxed with GGA-PBE, using Cu Kα (weighted mean of Kα1 and Kα2).

Cell and atoms:
Lattice parameters (Å, degrees): 8.510 8.510 8.510 90.00 90.00 90.00
Positions (direct):
Cs (0.000, 0.000, 0.000)
Cs (0.500, 0.500, 0.500)
Na (0.000, 0.250, 0.500)
Na (0.000, 0.750, 0.500)
Na (0.250, 0.500, 0.000)
Na (0.500, 0.000, 0.250)
Na (0.500, 0.000, 0.750)
Na (0.750, 0.500, 0.000)
Hg (0.000, 0.500, 0.250)
Hg (0.000, 0.500, 0.750)
Hg (0.250, 0.000, 0.500)
Hg (0.500, 0.250, 0.000)
Hg (0.500, 0.750, 0.000)
Hg (0.750, 0.000, 0.500)

Top 10 peaks for 10 to 90 degrees two-theta, by intensity:
two_theta	intensity
23.37	100
25.64	83
39.63	53
20.88	34
38.13	29
49.05	29
42.49	28
58.40	26
36.58	26
61.65	19

=====

No. 8
The following is a theoretical powder diffraction line list of CsNaHg6. It was derived from a cell relaxed with GGA-PBE, using Cu Kα (weighted mean of Kα1 and Kα2).

Cell and atoms:
Lattice parameters (Å, degrees): 5.240 5.240 9.983 90.00 90.00 90.00
Positions (direct):
Cs (0.000, 0.000, 0.000)
Na (0.000, 0.000, 0.500)
Hg (0.000, 0.500, 0.332)
Hg (0.000, 0.500, 0.668)
Hg (0.500, 0.000, 0.332)
Hg (0.500, 0.000, 0.668)
Hg (0.500, 0.500, 0.157)
Hg (0.500, 0.500, 0.843)

Top 10 peaks for 10 to 90 degrees two-theta, by intensity:
two_theta	intensity
25.65	100
36.29	95
34.23	85
62.63	40
49.18	31
31.86	28
66.58	24
56.28	24
30.04	22
24.63	21

=====

No. 9
The following is a theoretical powder diffraction line list of CsNaHgO2. It was derived from a cell relaxed with GGA-PBE, using Cu Kα (weighted mean of Kα1 and Kα2).

Cell and atoms:
Lattice parameters (Å, degrees): 7.334 7.334 5.521 90.00 90.00 128.20
Positions (direct):
Cs (0.250, 0.750, 0.799)
Cs (0.750, 0.250, 0.201)
Na (0.250, 0.250, 0.000)
Na (0.750, 0.750, 0.000)
Hg (0.000, 0.000, 0.500)
Hg (0.500, 0.500, 0.500)
O (0.097, 0.903, 0.215)
O (0.403, 0.597, 0.215)
O (0.597, 0.403, 0.785)
O (0.903, 0.097, 0.785)

Top 10 peaks for 10 to 90 degrees two-theta, by intensity:
two_theta	intensity
20.98	100
35.13	85
27.85	66
27.03	66
35.24	63
53.21	51
29.47	49
45.50	45
22.30	43
39.20	36

=====

No. 10
The following is a theoretical powder diffraction line list of CsNaHgS2. It was derived from a cell relaxed with GGA-PBE, using Cu Kα (weighted mean of Kα1 and Kα2).

Cell and atoms:
Lattice parameters (Å, degrees): 8.214 8.214 6.299 90.00 90.00 131.06
Positions (direct):
Cs (0.250, 0.750, 0.764)
Cs (0.750, 0.250, 0.236)
Na (0.250, 0.250, 0.500)
Na (0.750, 0.750, 0.500)
Hg (0.000, 0.000, 0.000)
Hg (0.500, 0.500, 0.000)
S (0.112, 0.888, 0.262)
S (0.388, 0.612, 0.262)
S (0.612, 0.388, 0.738)
S (0.888, 0.112, 0.738)

Top 10 peaks for 10 to 90 degrees two-theta, by intensity:
two_theta	intensity
30.81	100
26.30	92
26.19	90
14.06	86
18.42	76
32.21	69
40.87	69
23.80	67
35.72	61
38.53	55

=====

No. 11
The following is a theoretical powder diffraction line list of CsNaHgTe2. It was derived from a cell relaxed with GGA-PBE, using Cu Kα (weighted mean of Kα1 and Kα2).

Cell and atoms:
Lattice parameters (Å, degrees): 8.908 8.908 7.040 90.00 90.00 132.04
Positions (direct):
Cs (0.250, 0.750, 0.774)
Cs (0.750, 0.250, 0.226)
Na (0.250, 0.250, 0.500)
Na (0.750, 0.750, 0.500)
Hg (0.000, 0.000, 0.000)
Hg (0.500, 0.500, 0.000)
Te (0.120, 0.880, 0.258)
Te (0.380, 0.620, 0.258)
Te (0.620, 0.380, 0.742)
Te (0.880, 0.120, 0.742)

Top 10 peaks for 10 to 90 degrees two-theta, by intensity:
two_theta	intensity
24.08	100
24.59	71
27.64	57
42.09	37
32.73	34
12.57	34
35.54	28
16.65	26
37.30	25
33.66	25

=====

No. 12
The following is a theoretical powder diffraction line list of CsNa2Tl2Hg2. It was derived from a cell relaxed with GGA-PBE, using Cu Kα (weighted mean of Kα1 and Kα2).

Cell and atoms:
Lattice parameters (Å, degrees): 10.307 10.307 10.307 30.25 30.25 30.25
Positions (direct):
Cs (0.000, 0.000, 0.000)
Na (0.138, 0.138, 0.138)
Na (0.862, 0.862, 0.862)
Tl (0.445, 0.445, 0.445)
Tl (0.555, 0.555, 0.555)
Hg (0.246, 0.246, 0.246)
Hg (0.754, 0.754, 0.754)

Top 10 peaks for 10 to 90 degrees two-theta, by intensity:
two_theta	intensity
33.31	100
22.58	85
36.05	39
43.53	37
53.49	35
18.05	29
38.14	28
28.57	27
27.22	22
74.54	21